LiFe8O16: theoretical X-ray diffraction stick pattern (Cu Kα X-rays), based on a GGA+U-relaxed structure.
Kinematic intensities with the Lorentz-polarization factor, no thermal factor.

Structure:
Cell: 9.7143 2.9356 10.1798 Å, 90.00 90.49 90.00°
Space group P2 (No. 3)
One atom of each set of equivalent atoms:
Li (0.0000, 0.0000, 0.0000) [1 per cell]
Fe (0.1632, 0.5268, 0.8353) [2 per cell]
Fe (0.1826, 0.0345, 0.1541) [2 per cell]
Fe (0.3345, 0.5303, 0.3578) [2 per cell]
Fe (0.3476, 0.0286, 0.6594) [2 per cell]
O (0.0394, 0.5247, 0.1434) [2 per cell]
O (0.1572, 0.0267, 0.7089) [2 per cell]
O (0.1869, 0.0270, 0.9572) [2 per cell]
O (0.2027, 0.0320, 0.3430) [2 per cell]
O (0.3115, 0.5290, 0.1706) [2 per cell]
O (0.3203, 0.5291, 0.5420) [2 per cell]
O (0.3549, 0.5281, 0.7846) [2 per cell]
O (0.4590, 0.0303, 0.3535) [2 per cell]

Main lines, sorted by position (10 to 90 degrees two-theta):
hkl	2θ/deg	d_spacing	I_rel
1 0 -1	12.54	7.058	98
1 0 1	12.65	6.998	100
0 0 2	17.42	5.090	65
2 0 0	18.27	4.857	99
1 0 3	27.93	3.195	32
3 0 -1	28.86	3.093	36
0 0 4	35.27	2.545	27
1 1 -2	36.52	2.460	72
2 1 1	36.87	2.438	62
2 1 5	58.47	1.578	25